This entry pairs a crystal structure of Rb5Sr with its theoretical powder diffractogram. Radiation: CuKα. Structure: a GGA-PBE-relaxed structure.

Cell and atoms:
Lattice parameters (Å, degrees): 12.757 12.757 5.008 90.00 90.00 143.24
Fractional coordinates of all 6 atoms:
Rb  0.000  0.000  0.000
Rb  0.163  0.837  0.500
Rb  0.337  0.663  0.000
Rb  0.663  0.337  0.000
Rb  0.837  0.163  0.500
Sr  0.500  0.500  0.500

Most intense lines, 10 to 90 degrees two-theta, low angle first:
2θ (°), intensity
22.1, 59
23.7, 100
31.4, 24
35.9, 8
39.7, 50
42.5, 21
48.4, 14
51.5, 11
63.6, 12
67.0, 10